No. 1
For TiMnZnP3O12, a crystal structure in the Materials Project, relaxed with GGA+U gives the simulated PXRD pattern in this record (Cu Kα (weighted mean of Kα1 and Kα2)).

Most intense lines, 2θ = 15–90°, most intense first:
Position (°2θ)	I/Imax
24.26	100
20.56	87
33.08	77
36.01	39
47.43	33
49.70	29
56.35	24
62.89	22

Crystal structure
```
data_TiMnZnP3O12
_space_group_name_H-M_alt 'R 3 c'
_space_group_IT_number 161
_space_group_name_Hall 'R 3 -2"c'
_cell_length_a 8.6394
_cell_length_b 8.6394
_cell_length_c 20.8534
_cell_angle_alpha 90.00
_cell_angle_beta 90.00
_cell_angle_gamma 120.00
loop_
_atom_site_label
_atom_site_fract_x
_atom_site_fract_y
_atom_site_fract_z
Ti1 0.0000 0.0000 0.0000
Mn1 0.0000 0.0000 0.2890
Zn1 0.0000 0.0000 0.1469
P1 0.9996 0.2947 0.3940
O1 0.0039 0.1900 0.4542
O2 0.0218 0.1833 0.0688
O3 0.1348 0.4659 0.9997
O4 0.1656 0.4845 0.3885
```

---

No. 2
For PrMn4Cu3O12, a crystal structure in the Materials Project, relaxed with GGA+U gives the simulated PXRD pattern in this record (Cu Kα (weighted mean of Kα1 and Kα2)).

Most intense lines, 2θ = 15–90°, most intense first:
Position (°2θ)	I/Imax
33.97	100
60.79	48
48.80	25
81.57	16
71.50	12
16.80	10
38.12	9
45.47	9

Crystal structure
```
data_PrMn4Cu3O12
_space_group_name_H-M_alt 'I m -3'
_space_group_IT_number 204
_space_group_name_Hall '-I 2 2 3'
_cell_length_a 7.464
_cell_length_b 7.464
_cell_length_c 7.464
_cell_angle_alpha 90.00
_cell_angle_beta 90.00
_cell_angle_gamma 90.00
loop_
_atom_site_label
_atom_site_fract_x
_atom_site_fract_y
_atom_site_fract_z
Pr1 0.000 0.000 0.000
Mn1 0.250 0.250 0.250
Cu1 0.000 0.000 0.500
O1 0.000 0.171 0.307
```

---

No. 3
For Ti3Fe5O12, a crystal structure in the Materials Project, relaxed with GGA+U gives the simulated PXRD pattern in this record (Cu Kα (weighted mean of Kα1 and Kα2)).

Most intense lines, 2θ = 15–90°, most intense first:
Position (°2θ)	I/Imax
34.73	100
32.45	91
32.26	47
48.11	36
62.24	30
23.52	28
52.94	23
52.61	21

Crystal structure
```
data_Ti3Fe5O12
_space_group_name_H-M_alt 'P 1'
_space_group_IT_number 1
_cell_length_a 5.576
_cell_length_b 7.553
_cell_length_c 10.339
_cell_angle_alpha 89.87
_cell_angle_beta 89.91
_cell_angle_gamma 84.41
loop_
_space_group_symop_operation_xyz
'x,y,z'
loop_
_atom_site_label
_atom_site_fract_x
_atom_site_fract_y
_atom_site_fract_z
Ti1 0.000 0.000 0.000
Ti2 0.002 0.997 0.494
Ti3 0.009 0.502 0.996
Ti4 0.496 0.505 0.742
Ti5 0.514 0.491 0.247
Ti6 0.593 0.287 0.498
Fe1 0.012 0.506 0.497
Fe2 0.075 0.286 0.748
Fe3 0.086 0.793 0.744
Fe4 0.090 0.291 0.246
Fe5 0.091 0.797 0.245
Fe6 0.506 0.997 0.745
Fe7 0.509 0.001 0.242
Fe8 0.581 0.790 0.490
Fe9 0.583 0.792 0.997
Fe10 0.586 0.291 0.993
O1 0.137 0.553 0.158
O2 0.141 0.042 0.334
O3 0.148 0.037 0.831
O4 0.153 0.545 0.677
O5 0.275 0.910 0.087
O6 0.278 0.907 0.594
O7 0.287 0.403 0.908
O8 0.328 0.392 0.399
O9 0.446 0.728 0.306
O10 0.453 0.737 0.810
O11 0.454 0.254 0.167
O12 0.461 0.242 0.665
O13 0.637 0.537 0.584
O14 0.646 0.063 0.427
O15 0.651 0.051 0.913
O16 0.658 0.538 0.081
O17 0.766 0.411 0.847
O18 0.785 0.408 0.342
O19 0.798 0.896 0.650
O20 0.815 0.901 0.142
O21 0.945 0.233 0.560
O22 0.946 0.756 0.414
O23 0.951 0.238 0.057
O24 0.963 0.730 0.919
```